For AcGeSe3, the PBE geometry in Alexandria gives the calculated powder XRD pattern in this record (Cu Kα (λ = 1.5418 Å)).
Intensities are scaled so that the largest is 100.

Cell and atoms:
abc: 8.5299 6.8235 9.6096
angles: 90.00 90.00 90.00
Element x y z (fractional)
Ac: 0.1108 0.0494 0.0000
Ac: 0.3892 0.5494 0.5000
Ac: 0.6108 0.4506 0.0000
Ac: 0.8892 0.9506 0.5000
Ge: 0.0753 0.5304 0.2297
Ge: 0.4247 0.0304 0.7297
Ge: 0.5753 0.9696 0.2297
Ge: 0.9247 0.4696 0.7297
Se: 0.0261 0.4064 0.4847
Se: 0.1794 0.8487 0.2999
Se: 0.1833 0.8379 0.7001
Se: 0.3167 0.3379 0.2001
Se: 0.3206 0.3487 0.7999
Se: 0.4739 0.9064 0.9847
Se: 0.5261 0.0936 0.4847
Se: 0.6794 0.6513 0.2999
Se: 0.6833 0.6621 0.7001
Se: 0.8167 0.1621 0.2001
Se: 0.8206 0.1513 0.7999
Se: 0.9739 0.5936 0.9847

Peak list (10 most intense, 2θ from 10° to 90°, in order of rising 2θ)
index	Position (°2θ)	I (rel.)
1 1 1	19.04	84
2 0 1	22.81	58
1 1 2	24.95	52
1 2 1	29.69	75
2 1 2	30.95	54
1 1 3	32.62	79
3 1 0	34.16	47
2 0 3	34.99	100
3 1 1	35.46	63
0 0 4	37.44	50